Record 1
The following is a calculated X-ray diffraction stick pattern of LaF3. It was derived from DFT lattice parameters and positions (GGA-PBE), using λ = 1.5418 Å (Cu Kα).
Intensities are scaled so that the largest is 100.

Peak list (10 most intense, 2θ from 5° to 70°, by angle)
Position (°2θ), Rel. int.
25.92, 88
26.69, 77
28.57, 65
33.98, 22
39.79, 32
41.88, 32
44.97, 100
48.56, 35
49.91, 31
59.14, 19

Structure:
Cell lengths 6.8156, 6.8156, 4.5308 Å; angles 90.00, 90.00, 101.46 degrees
Fractional positions:
La 0.0000 0.0000 0.0000
La 0.0000 0.5000 0.5000
La 0.5000 0.0000 0.5000
La 0.5000 0.5000 0.0000
F 0.1249 0.3751 0.0000
F 0.1280 0.8720 0.5711
F 0.2500 0.2500 0.5000
F 0.2500 0.7500 0.1089
F 0.3720 0.6280 0.5711
F 0.3751 0.1249 0.0000
F 0.6249 0.8751 0.0000
F 0.6280 0.3720 0.4289
F 0.7500 0.2500 0.8911
F 0.7500 0.7500 0.5000
F 0.8720 0.1280 0.4289
F 0.8751 0.6249 0.0000



Record 2
The following is a calculated X-ray diffraction stick pattern of La2MgS4. It was derived from DFT lattice parameters and positions (GGA-PBE), using λ = 1.5418 Å (Cu Kα).
Intensities are scaled so that the largest is 100.

Peak list (10 most intense, 2θ from 5° to 70°, by angle)
Position (°2θ), Rel. int.
14.37, 49
20.98, 44
24.78, 89
25.52, 94
31.70, 52
33.26, 51
33.46, 100
38.32, 91
39.66, 54
49.31, 41

Structure:
Cell lengths 7.4859, 7.4859, 7.4859 Å; angles 111.09, 111.09, 106.27 degrees
Fractional positions:
La 0.0081 0.6250 0.8831
La 0.3750 0.2581 0.3831
La 0.7419 0.1250 0.1169
La 0.8750 0.9919 0.6169
Mg 0.2500 0.7500 0.5000
Mg 0.5000 0.5000 0.0000
S 0.0075 0.8754 0.2690
S 0.1246 0.3936 0.1321
S 0.1436 0.3746 0.6321
S 0.2615 0.9925 0.8679
S 0.4885 0.8564 0.2310
S 0.6064 0.7385 0.7310
S 0.6254 0.2575 0.7690
S 0.7425 0.5115 0.3679



Record 3
The following is a calculated X-ray diffraction stick pattern of TbInAu. It was derived from DFT lattice parameters and positions (GGA-PBE), using λ = 1.5418 Å (Cu Kα).
Intensities are scaled so that the largest is 100.

Peak list (10 most intense, 2θ from 5° to 70°, by angle)
Position (°2θ), Rel. int.
22.88, 16
31.97, 82
34.70, 100
35.27, 32
40.19, 54
41.97, 42
44.92, 27
58.36, 14
61.83, 31
64.62, 36

Structure:
Cell lengths 7.7733, 7.7733, 4.0362 Å; angles 90.00, 90.00, 120.00 degrees
Fractional positions:
Tb 0.0000 0.5962 0.0000
Tb 0.4038 0.4038 0.0000
Tb 0.5962 0.0000 0.0000
In 0.0000 0.2604 0.5000
In 0.2604 0.0000 0.5000
In 0.7396 0.7396 0.5000
Au 0.0000 0.0000 0.0000
Au 0.3333 0.6667 0.5000
Au 0.6667 0.3333 0.5000



Record 4
The following is a calculated X-ray diffraction stick pattern of InBN2. It was derived from DFT lattice parameters and positions (GGA-PBE), using λ = 1.5418 Å (Cu Kα).
Intensities are scaled so that the largest is 100.

Peak list (10 most intense, 2θ from 5° to 70°, by angle)
Position (°2θ), Rel. int.
17.94, 92
30.43, 44
32.22, 100
38.63, 37
42.90, 42
52.92, 47
56.34, 27
58.54, 13
63.33, 13
65.90, 14

Structure:
Cell lengths 3.4602, 3.4602, 14.8323 Å; angles 90.00, 90.00, 120.00 degrees
Fractional positions:
In 0.0000 0.0000 0.0000
In 0.3333 0.6667 0.6667
In 0.6667 0.3333 0.3333
B 0.0000 0.0000 0.5000
B 0.3333 0.6667 0.1667
B 0.6667 0.3333 0.8333
N 0.0000 0.0000 0.4096
N 0.0000 0.0000 0.5904
N 0.3333 0.6667 0.0762
N 0.3333 0.6667 0.2571
N 0.6667 0.3333 0.7429
N 0.6667 0.3333 0.9238



Record 5
The following is a calculated X-ray diffraction stick pattern of LiAlS2. It was derived from DFT lattice parameters and positions (GGA-PBE), using λ = 1.5418 Å (Cu Kα).
Intensities are scaled so that the largest is 100.

Peak list (10 most intense, 2θ from 5° to 70°, by angle)
Position (°2θ), Rel. int.
17.57, 44
18.06, 48
26.30, 88
27.23, 55
28.50, 91
29.98, 100
30.81, 43
47.55, 62
51.41, 66
56.38, 40

Structure:
Cell lengths 6.5509, 7.9207, 6.2632 Å; angles 90.00, 90.00, 90.00 degrees
Fractional positions:
Li 0.0838 0.1235 0.0000
Li 0.4162 0.6235 0.5000
Li 0.5838 0.3765 0.0000
Li 0.9162 0.8765 0.5000
Al 0.0730 0.6263 0.0024
Al 0.4270 0.1263 0.5024
Al 0.5730 0.8737 0.0024
Al 0.9270 0.3737 0.5024
S 0.0646 0.6130 0.3670
S 0.0952 0.1390 0.3928
S 0.4048 0.6390 0.8928
S 0.4354 0.1130 0.8670
S 0.5646 0.8870 0.3670
S 0.5952 0.3610 0.3928
S 0.9048 0.8610 0.8928
S 0.9354 0.3870 0.8670



Record 6
The following is a calculated X-ray diffraction stick pattern of BaLaInO4. It was derived from DFT lattice parameters and positions (GGA-PBE), using λ = 1.5418 Å (Cu Kα).
Intensities are scaled so that the largest is 100.

Peak list (10 most intense, 2θ from 5° to 70°, by angle)
Position (°2θ), Rel. int.
29.12, 100
29.83, 29
30.20, 31
39.82, 11
40.32, 16
42.96, 25
51.19, 11
52.49, 19
52.97, 21
60.37, 12

Structure:
Cell lengths 13.4238, 5.9913, 5.9193 Å; angles 90.00, 90.00, 90.00 degrees
Fractional positions:
Ba 0.1458 0.2334 0.0000
Ba 0.3542 0.2334 0.5000
Ba 0.6458 0.7666 0.0000
Ba 0.8542 0.7666 0.5000
La 0.1469 0.6992 0.5212
La 0.3531 0.6992 0.0212
La 0.6469 0.3008 0.5212
La 0.8531 0.3008 0.0212
In 0.0009 0.2447 0.5027
In 0.4991 0.2447 0.0027
In 0.5009 0.7553 0.5027
In 0.9991 0.7553 0.0027
O 0.0032 0.4552 0.2095
O 0.0310 0.9405 0.3094
O 0.1644 0.3066 0.5238
O 0.1779 0.7550 0.9208
O 0.3221 0.7550 0.4208
O 0.3356 0.3066 0.0238
O 0.4690 0.9405 0.8094
O 0.4968 0.4552 0.7095
O 0.5032 0.5448 0.2095
O 0.5310 0.0595 0.3094
O 0.6644 0.6934 0.5238
O 0.6779 0.2450 0.9208
O 0.8221 0.2450 0.4208
O 0.8356 0.6934 0.0238
O 0.9690 0.0595 0.8094
O 0.9968 0.5448 0.7095